The following is a calculated powder XRD pattern of BPdO3. It was derived from the PBE geometry in the Materials Project, using a wavelength of 1.5418 Å.

Main lines, by angle (10° ≤ 2θ ≤ 90°):
| index | 2θ/deg | d (Å) | I/Imax |
| --- | --- | --- | --- |
| 1 0 0 | 25.99 | 3.429 | 86 |
| 1 1 0 | 37.08 | 2.424 | 100 |
| 1 1 1 | 45.84 | 1.980 | 79 |
| 2 0 0 | 53.45 | 1.714 | 43 |
| 2 1 0 | 60.37 | 1.533 | 37 |
| 2 1 1 | 66.84 | 1.400 | 36 |

Crystal structure
```
data_BPdO3
_chemical_formula_sum 'B1 Pd1 O3'
_symmetry_space_group_name_H-M 'P m -3 m'
_symmetry_Int_Tables_number 221
_symmetry_space_group_name_Hall '-P 4 2 3'
_cell_length_a 3.4287
_cell_length_b 3.4287
_cell_length_c 3.4287
_cell_angle_alpha 90.00
_cell_angle_beta 90.00
_cell_angle_gamma 90.00
loop_
_atom_site_label
_atom_site_type_symbol
_atom_site_fract_x
_atom_site_fract_y
_atom_site_fract_z
_atom_site_occupancy
B1 B 0.0000 0.0000 0.0000 1
Pd1 Pd 0.5000 0.5000 0.5000 1
O1 O 0.0000 0.0000 0.5000 1
```